Structure and theoretical PXRD pattern of USiTe3 (a DFT-relaxed cell (GGA-PBE, Alexandria); Cu Ka).
No peak broadening, texture or thermal motion is included.

Structure:
Cell: 7.4821 7.4821 7.4821 Å, 132.05 86.81 112.70°
Element x y z (fractional)
U (0.3079, 0.0579, 0.2500)
U (0.6921, 0.9421, 0.7500)
Si (0.0000, 0.0000, 0.5000)
Si (0.0000, 0.5000, 0.0000)
Te (0.2639, 0.0000, 0.7639)
Te (0.2639, 0.5000, 0.2639)
Te (0.2890, 0.5390, 0.7500)
Te (0.7110, 0.4610, 0.2500)
Te (0.7361, 0.0000, 0.2361)
Te (0.7361, 0.5000, 0.7361)

Most intense lines, 2θ from 15° to 90°, by intensity:
- 3.297 Å, I 100
- 2.653 Å, I 74
- 2.452 Å, I 57
- 2.718 Å, I 46
- 1.820 Å, I 44
- 2.679 Å, I 20
- 2.198 Å, I 19
- 1.381 Å, I 17